[1]
Structure and calculated XRD peak list of Tl5Se3 (a cell relaxed with PBE; Cu Kα, 1.54184 Å).
No peak broadening, texture or thermal motion is included.

Largest 10 diffraction maxima, in order of rising 2θ, 5 to 70 degrees two-theta:
- hkl 1 1 -2, 24.8°, I 72
- hkl 1 3 -1, 27.4°, I 70
- hkl 2 2 -2, 29.1°, I 40
- hkl 1 3 1, 29.8°, I 47
- hkl 0 2 2, 30.0°, I 51
- hkl 3 1 1, 30.5°, I 100
- hkl 4 0 -2, 31.2°, I 54
- hkl 4 2 -1, 32.3°, I 53
- hkl 3 3 -1, 32.6°, I 54
- hkl 4 2 0, 34.1°, I 39

Crystal structure
a b c (Å): 12.8875 10.8898 7.6425
angles (deg): 90.00 111.36 90.00
Space group C2 (No. 5)
Symmetry-distinct sites (fractional):
Tl (0.0000, 0.0000, 0.0000) x2
Tl (0.0000, 0.0942, 0.5000) x2
Tl (0.0888, 0.3229, 0.2633) x4
Tl (0.0888, 0.7708, 0.7625) x4
Tl (0.1946, 0.4563, 0.8390) x4
Tl (0.1945, 0.6375, 0.3381) x4
Se (0.0000, 0.5440, 0.5000) x2
Se (0.0000, 0.5497, 0.0000) x2
Se (0.1654, 0.9102, 0.4491) x4
Se (0.1659, 0.1840, 0.9487) x4

[2]
Structure and calculated XRD peak list of Tl4Se (a cell relaxed with PBE; Cu Kα, 1.54184 Å).
No peak broadening, texture or thermal motion is included.

Largest 10 diffraction maxima, in order of rising 2θ, 5 to 70 degrees two-theta:
- hkl 1 1 0, 26.3°, I 22
- hkl 2 0 1, 27.2°, I 100
- hkl 0 0 4, 27.4°, I 22
- hkl 1 1 -3, 33.5°, I 56
- hkl 1 1 4, 38.3°, I 52
- hkl 2 0 5, 43.8°, I 16
- hkl 3 1 0, 46.3°, I 37
- hkl 2 2 1, 54.6°, I 22
- hkl 3 1 4, 54.7°, I 14
- hkl 1 1 8, 63.3°, I 16

Crystal structure
a b c (Å): 6.7878 3.9185 13.0398
angles (deg): 90.00 90.09 90.00
Space group C2/m (No. 12)
Symmetry-distinct sites (fractional):
Tl (0.1663, 0.0000, 0.3520) x4
Tl (0.1670, 0.0000, 0.1011) x4
Se (0.0000, 0.5000, 0.5000) x2

[3]
Structure and calculated XRD peak list of Tl3Se2 (a cell relaxed with PBE; Cu Kα, 1.54184 Å).
No peak broadening, texture or thermal motion is included.

Largest 10 diffraction maxima, in order of rising 2θ, 5 to 70 degrees two-theta:
- hkl 0 1 2, 15.8°, I 14
- hkl 1 1 3, 26.3°, I 100
- hkl 0 0 6, 28.2°, I 20
- hkl 0 2 4, 31.9°, I 15
- hkl 2 1 1, 34.4°, I 19
- hkl 1 1 6, 36.2°, I 19
- hkl 3 0 0, 38.8°, I 28
- hkl 2 1 4, 39.2°, I 12
- hkl 3 0 6, 48.7°, I 12
- hkl 1 1 9, 48.8°, I 19

Crystal structure
a b c (Å): 8.0359 8.0359 18.9610
angles (deg): 90.00 90.00 120.00
Space group R-3c (No. 167, hexagonal axes)
Symmetry-distinct sites (fractional):
Tl (0.0000, 0.2807, 0.2500) x18
Se (0.0000, 0.0000, 0.1323) x12